This entry pairs a crystal structure of K2Mo2O15 with its calculated powder X-ray diffraction pattern. Radiation: Cu Kα. Structure: the PBE+U geometry in the Materials Project.
Neutral-atom scattering factors, no anomalous dispersion.

Cell and atoms:
```
data_K2Mo2O15
_space_group_name_H-M_alt 'P -1'
_space_group_IT_number 2
_cell_length_a 6.8999
_cell_length_b 10.2006
_cell_length_c 11.8794
_cell_angle_alpha 96.55
_cell_angle_beta 99.53
_cell_angle_gamma 107.18
loop_
_space_group_symop_operation_xyz
'x,y,z'
'-x,-y,-z'
loop_
_atom_site_label
_atom_site_type_symbol
_atom_site_fract_x
_atom_site_fract_y
_atom_site_fract_z
K1 K 0.1440 0.2594 0.4899
K2 K 0.2191 0.7308 0.9562
Mo1 Mo 0.3843 0.4461 0.1994
Mo2 Mo 0.3977 0.7861 0.3181
O1 O 0.1062 0.0781 0.0911
O2 O 0.1315 0.0466 0.7482
O3 O 0.1318 0.6483 0.3353
O4 O 0.1459 0.7942 0.3727
O5 O 0.1487 0.9291 0.7369
O6 O 0.1923 0.0412 0.0155
O7 O 0.1983 0.3771 0.0445
O8 O 0.2414 0.5286 0.0791
O9 O 0.2435 0.3501 0.2896
O10 O 0.2536 0.6758 0.5970
O11 O 0.2792 0.5759 0.5386
O12 O 0.3927 0.8568 0.1907
O13 O 0.3967 0.1106 0.5694
O14 O 0.4029 0.6075 0.8181
O15 O 0.4945 0.3684 0.7093
```

Main lines, most intense first (2θ = 15–90°):
hkl 0 1 -2, 2θ = 16.49°, rel. 100; hkl 0 2 1, 2θ = 21.25°, rel. 53; hkl 1 1 -2, 2θ = 21.36°, rel. 35; hkl 1 0 -2, 2θ = 18.36°, rel. 33; hkl 1 -1 3, 2θ = 28.18°, rel. 29; hkl 1 1 0, 2θ = 18.89°, rel. 29; hkl 2 0 -1, 2θ = 27.11°, rel. 28; hkl 1 -3 0, 2θ = 26.84°, rel. 28